Record 1
Structure and simulated XRD peak list of Pr3P2O (DFT lattice parameters and positions (GGA-PBE); CuKα).
Neutral-atom scattering factors, no anomalous dispersion.

Structure:
Cell lengths 4.0165, 4.0165, 9.7419 Å; angles 90.00, 90.00, 120.00 degrees
Sites, in units of the cell vectors:
Pr 0.0000 0.0000 0.0000
Pr 0.3333 0.6667 0.3544
Pr 0.6667 0.3333 0.6456
P 0.3333 0.6667 0.8174
P 0.6667 0.3333 0.1826
O 0.0000 0.0000 0.5000

Principal peaks in the range 2θ = 10–90°, by angle:
2θ 27.2, rel. 711; 2θ 27.5, rel. 204; 2θ 31.6, rel. 1000; 2θ 45.1, rel. 376; 2θ 45.5, rel. 325; 2θ 53.5, rel. 115; 2θ 53.7, rel. 202; 2θ 56.2, rel. 190; 2θ 74.8, rel. 160; 2θ 83.6, rel. 109



Record 2
Structure and simulated XRD peak list of NiSb3Mo2 (DFT lattice parameters and positions (GGA-PBE); CuKα).
Neutral-atom scattering factors, no anomalous dispersion.

Structure:
Cell lengths 3.6548, 3.6548, 8.2979 Å; angles 90.00, 90.00, 90.00 degrees
Sites, in units of the cell vectors:
Ni 0.0000 0.0000 0.0000
Sb 0.0000 0.5000 0.3866
Sb 0.5000 0.0000 0.6134
Sb 0.5000 0.5000 0.0000
Mo 0.0000 0.5000 0.7422
Mo 0.5000 0.0000 0.2578

Principal peaks in the range 2θ = 10–90°, by angle:
2θ 32.4, rel. 285; 2θ 32.7, rel. 483; 2θ 34.7, rel. 252; 2θ 36.4, rel. 1000; 2θ 40.9, rel. 807; 2θ 41.2, rel. 587; 2θ 49.9, rel. 538; 2θ 60.7, rel. 179; 2θ 66.4, rel. 372; 2θ 73.2, rel. 237



Record 3
Structure and simulated XRD peak list of Tb4O7 (DFT lattice parameters and positions (GGA-PBE); CuKα).
Neutral-atom scattering factors, no anomalous dispersion.

Structure:
Cell lengths 7.9963, 5.7207, 5.7207 Å; angles 35.43, 90.00, 90.00 degrees
Sites, in units of the cell vectors:
Tb 0.0000 0.0000 0.0000
Tb 0.2409 0.2802 0.2802
Tb 0.5000 0.9904 0.9904
Tb 0.7591 0.2802 0.2802
O 0.0000 0.3722 0.3722
O 0.0000 0.6468 0.6468
O 0.2475 0.9083 0.9083
O 0.4040 0.6397 0.6397
O 0.5000 0.3610 0.3610
O 0.5960 0.6397 0.6397
O 0.7525 0.9083 0.9083

Principal peaks in the range 2θ = 10–90°, by angle:
2θ 26.9, rel. 375; 2θ 27.7, rel. 1000; 2θ 32.9, rel. 192; 2θ 35.2, rel. 552; 2θ 35.7, rel. 597; 2θ 42.5, rel. 206; 2θ 45.4, rel. 171; 2θ 54.7, rel. 360; 2θ 59.0, rel. 223; 2θ 60.4, rel. 228



Record 4
Structure and simulated XRD peak list of Nb3SeIBr6 (DFT lattice parameters and positions (GGA-PBE); CuKα).
Neutral-atom scattering factors, no anomalous dispersion.

Structure:
Cell lengths 7.2843, 7.2843, 6.7327 Å; angles 90.00, 90.00, 120.00 degrees
Sites, in units of the cell vectors:
Nb 0.0649 0.5324 0.0000
Nb 0.4676 0.5324 0.0000
Nb 0.4676 0.9351 0.0000
Se 0.3333 0.6667 0.2825
I 0.6667 0.3333 0.7618
Br 0.1664 0.3329 0.7495
Br 0.1664 0.8336 0.7495
Br 0.3315 0.1657 0.2090
Br 0.6671 0.8336 0.7495
Br 0.8343 0.1657 0.2090
Br 0.8343 0.6685 0.2090

Principal peaks in the range 2θ = 10–90°, by angle:
2θ 13.2, rel. 407; 2θ 14.0, rel. 135; 2θ 31.3, rel. 1000; 2θ 39.1, rel. 456; 2θ 40.1, rel. 96; 2θ 49.9, rel. 255; 2θ 50.1, rel. 238; 2θ 57.5, rel. 107; 2θ 60.3, rel. 150; 2θ 82.1, rel. 118



Record 5
Structure and simulated XRD peak list of GdHoSbI2 (DFT lattice parameters and positions (GGA-PBE); CuKα).
Neutral-atom scattering factors, no anomalous dispersion.

Structure:
Cell lengths 4.3395, 4.3395, 11.2102 Å; angles 90.00, 90.00, 120.00 degrees
Sites, in units of the cell vectors:
Gd 0.0000 0.0000 0.0000
Ho 0.3333 0.6667 0.3019
Sb 0.6667 0.3333 0.1539
I 0.0000 0.0000 0.4740
I 0.3333 0.6667 0.8243

Principal peaks in the range 2θ = 10–90°, by angle:
2θ 23.7, rel. 85; 2θ 28.6, rel. 1000; 2θ 33.8, rel. 91; 2θ 40.1, rel. 354; 2θ 41.6, rel. 343; 2θ 51.3, rel. 196; 2θ 59.2, rel. 113; 2θ 66.0, rel. 141; 2θ 68.1, rel. 167; 2θ 75.0, rel. 112



Record 6
Structure and simulated XRD peak list of Dy4Y3Fe2Te2 (DFT lattice parameters and positions (GGA-PBE); CuKα).
Neutral-atom scattering factors, no anomalous dispersion.

Structure:
Cell lengths 9.3800, 9.3800, 9.3800 Å; angles 156.07, 65.31, 120.24 degrees
Sites, in units of the cell vectors:
Dy 0.1352 0.0000 0.1352
Dy 0.5200 0.2065 0.3135
Dy 0.8648 0.0000 0.8648
Dy 0.8930 0.2065 0.6865
Y 0.1978 0.8472 0.3506
Y 0.4966 0.8472 0.6494
Y 0.5840 0.5840 0.0000
Fe 0.2770 0.5155 0.7614
Fe 0.7541 0.5155 0.2386
Te 0.2477 0.2477 0.0000
Te 0.8484 0.3484 0.5000

Principal peaks in the range 2θ = 10–90°, by angle:
2θ 24.8, rel. 352; 2θ 29.9, rel. 226; 2θ 30.4, rel. 414; 2θ 33.4, rel. 798; 2θ 33.7, rel. 1000; 2θ 34.1, rel. 253; 2θ 34.5, rel. 821; 2θ 38.7, rel. 215; 2θ 46.7, rel. 317; 2θ 58.6, rel. 316



Record 7
Structure and simulated XRD peak list of Pd5N (DFT lattice parameters and positions (GGA-PBE); CuKα).
Neutral-atom scattering factors, no anomalous dispersion.

Structure:
Cell lengths 5.0537, 5.0537, 4.5882 Å; angles 90.00, 90.00, 120.00 degrees
Sites, in units of the cell vectors:
Pd 0.0000 0.5000 0.0000
Pd 0.3333 0.6667 0.5000
Pd 0.5000 0.0000 0.0000
Pd 0.5000 0.5000 0.0000
Pd 0.6667 0.3333 0.5000
N 0.0000 0.0000 0.5000

Principal peaks in the range 2θ = 10–90°, by angle:
2θ 20.3, rel. 1000; 2θ 39.3, rel. 452; 2θ 40.8, rel. 904; 2θ 41.3, rel. 201; 2θ 44.6, rel. 255; 2θ 45.9, rel. 992; 2θ 67.4, rel. 195; 2θ 75.2, rel. 191; 2θ 75.9, rel. 220; 2θ 88.3, rel. 258